[1]
# PmGa3Pd3
Simulated XRD peak list, a wavelength of 1.5418 Å. Input: a cell relaxed with GGA-PBE.
Peak positions follow from Bragg's law for the DFT cell and can differ from measured ones.

Principal peaks in the range 2θ = 15–90°, in order of falling intensity:
2θ (°)	d [Å]	I/Imax
38.92	2.314	100
29.52	3.026	84
40.06	2.251	76
40.96	2.203	66
36.90	2.436	39
51.36	1.779	37

Atomic structure:
a = 7.394 Å, b = 7.394 Å, c = 7.394 Å
α = 55.87°, β = 55.87°, γ = 55.87°
Fractional positions:
1 Pm 0.161 0.161 0.161
2 Pm 0.839 0.839 0.839
3 Ga 0.038 0.234 0.602
4 Ga 0.234 0.602 0.038
5 Ga 0.398 0.962 0.766
6 Ga 0.602 0.038 0.234
7 Ga 0.766 0.398 0.962
8 Ga 0.962 0.766 0.398
9 Pd 0.193 0.422 0.671
10 Pd 0.329 0.807 0.578
11 Pd 0.422 0.671 0.193
12 Pd 0.578 0.329 0.807
13 Pd 0.671 0.193 0.422
14 Pd 0.807 0.578 0.329

---

[2]
# Er3Cd2In4
Simulated XRD peak list, a wavelength of 1.5418 Å. Input: a cell relaxed with GGA-PBE.
Peak positions follow from Bragg's law for the DFT cell and can differ from measured ones.

Principal peaks in the range 2θ = 15–90°, in order of falling intensity:
2θ (°)	d [Å]	I/Imax
33.08	2.708	100
36.28	2.476	78
65.38	1.427	36
49.89	1.828	21
63.23	1.471	15
63.33	1.469	10

Atomic structure:
a = 6.060 Å, b = 6.060 Å, c = 9.276 Å
α = 116.03°, β = 116.03°, γ = 48.15°
Fractional positions:
1 Er 0.000 0.000 0.000
2 Er 0.334 0.334 0.334
3 Er 0.666 0.666 0.666
4 Cd 0.387 0.387 0.719
5 Cd 0.613 0.613 0.281
6 In 0.053 0.053 0.384
7 In 0.277 0.277 0.939
8 In 0.723 0.723 0.061
9 In 0.947 0.947 0.616

---

[3]
# LaNdSm2Th
Simulated XRD peak list, a wavelength of 1.5418 Å. Input: a cell relaxed with GGA-PBE.
Peak positions follow from Bragg's law for the DFT cell and can differ from measured ones.

Principal peaks in the range 2θ = 15–90°, in order of falling intensity:
2θ (°)	d [Å]	I/Imax
29.15	3.063	100
34.67	2.587	95
31.22	2.865	90
28.03	3.184	82
30.52	2.929	81
31.54	2.837	74

Atomic structure:
a = 8.704 Å, b = 6.563 Å, c = 6.482 Å
α = 90.00°, β = 100.92°, γ = 90.00°
Fractional positions:
1 La 0.000 0.000 0.000
2 La 0.000 0.000 0.500
3 Nd 0.500 0.164 0.250
4 Nd 0.500 0.836 0.750
5 Sm 0.314 0.327 0.685
6 Sm 0.314 0.673 0.185
7 Sm 0.686 0.327 0.815
8 Sm 0.686 0.673 0.315
9 Th 0.000 0.452 0.250
10 Th 0.000 0.548 0.750